The following is a calculated powder diffractogram of RbBiMo2O8. It was derived from the GGA+U geometry in Alexandria, using Cu Kα, 1.54184 Å.

The 10 most intense peaks (2θ from 5° to 70°), sorted by position:
2θ (°), d [Å], intensity
16.71, 5.306, 41
20.06, 4.427, 100
27.86, 3.202, 93
29.15, 3.063, 75
40.76, 2.214, 44
45.18, 2.007, 16
46.68, 1.946, 20
50.89, 1.794, 35
54.65, 1.680, 28
67.82, 1.382, 16

Cell and atoms:
```
data_RbBiMo2O8
_symmetry_space_group_name_H-M 'P 1'
_symmetry_Int_Tables_number 1
_cell_length_a 6.1269
_cell_length_b 6.1269
_cell_length_c 8.0328
_cell_angle_alpha 90.00
_cell_angle_beta 90.00
_cell_angle_gamma 120.00
loop_
_symmetry_equiv_pos_as_xyz
'x,y,z'
loop_
_atom_site_label
_atom_site_type_symbol
_atom_site_fract_x
_atom_site_fract_y
_atom_site_fract_z
Rb1 Rb 0.0000 0.0000 0.0000
Bi1 Bi 0.0000 0.0000 0.5000
Mo1 Mo 0.3333 0.6667 0.7545
Mo2 Mo 0.6667 0.3333 0.2455
O1 O 0.1669 0.3417 0.6840
O2 O 0.1748 0.8331 0.6840
O3 O 0.3333 0.6667 0.9720
O4 O 0.3417 0.1748 0.3160
O5 O 0.6583 0.8252 0.6840
O6 O 0.6667 0.3333 0.0280
O7 O 0.8252 0.1669 0.3160
O8 O 0.8331 0.6583 0.3160
```